Entry 1:
# La8Tl2Rh
Theoretical X-ray powder pattern, Cu Kα (λ = 1.5418 Å). Input: a crystal structure in Alexandria, relaxed with PBE.
Intensities are scaled so that the largest is 100.

Atomic structure:
Lattice parameters (Å, degrees): 9.729 9.729 7.039 108.95 108.95 33.95
Fractional coordinates of all 11 atoms:
La 0.004 0.004 0.279
La 0.209 0.209 0.746
La 0.353 0.353 0.574
La 0.408 0.408 0.093
La 0.592 0.592 0.907
La 0.647 0.647 0.426
La 0.791 0.791 0.254
La 0.996 0.996 0.721
Tl 0.177 0.177 0.190
Tl 0.823 0.823 0.810
Rh 0.500 0.500 0.500

Peak list (8 most intense, 10° ≤ 2θ ≤ 90°, by intensity)
2θ/deg  Rel. int.
33.19  100.0
31.49  84.5
29.98  78.0
34.17  59.9
27.73  28.2
28.33  23.7
57.15  23.5
30.51  21.2

Entry 2:
# La2TlZnRh
Theoretical X-ray powder pattern, Cu Kα (λ = 1.5418 Å). Input: a crystal structure in Alexandria, relaxed with PBE.
Intensities are scaled so that the largest is 100.

Atomic structure:
Lattice parameters (Å, degrees): 7.367 4.585 8.097 90.00 107.79 90.00
Fractional coordinates of all 10 atoms:
La 0.142 0.250 0.339
La 0.276 0.250 0.949
La 0.724 0.750 0.051
La 0.858 0.750 0.661
Tl 0.322 0.750 0.652
Tl 0.678 0.250 0.348
Zn 0.446 0.750 0.323
Zn 0.554 0.250 0.677
Rh 0.121 0.750 0.087
Rh 0.879 0.250 0.913

Peak list (8 most intense, 10° ≤ 2θ ≤ 90°, by intensity)
2θ/deg  Rel. int.
34.87  100.0
30.29  78.7
36.87  50.8
39.30  44.6
41.69  28.1
31.07  21.5
53.56  20.4
29.98  18.7

Entry 3:
# LaTm3Rh4
Theoretical X-ray powder pattern, Cu Kα (λ = 1.5418 Å). Input: a crystal structure in Alexandria, relaxed with PBE.
Intensities are scaled so that the largest is 100.

Atomic structure:
Lattice parameters (Å, degrees): 8.464 8.464 8.464 33.25 33.25 33.25
Fractional coordinates of all 8 atoms:
La 0.000 0.000 0.000
Tm 0.247 0.247 0.247
Tm 0.500 0.500 0.500
Tm 0.753 0.753 0.753
Rh 0.127 0.127 0.127
Rh 0.379 0.379 0.379
Rh 0.621 0.621 0.621
Rh 0.873 0.873 0.873

Peak list (8 most intense, 10° ≤ 2θ ≤ 90°, by intensity)
2θ/deg  Rel. int.
36.87  100.0
37.13  99.9
66.76  34.8
53.32  34.5
66.93  17.6
66.25  16.9
79.09  11.0
78.46  10.4

Entry 4:
# LaTm4Rh5
Theoretical X-ray powder pattern, Cu Kα (λ = 1.5418 Å). Input: a crystal structure in Alexandria, relaxed with PBE.
Intensities are scaled so that the largest is 100.

Atomic structure:
Lattice parameters (Å, degrees): 3.368 3.368 17.609 90.00 90.00 90.00
Fractional coordinates of all 10 atoms:
La 0.000 0.000 0.000
Tm 0.000 0.000 0.208
Tm 0.000 0.000 0.403
Tm 0.000 0.000 0.597
Tm 0.000 0.000 0.792
Rh 0.500 0.500 0.115
Rh 0.500 0.500 0.306
Rh 0.500 0.500 0.500
Rh 0.500 0.500 0.694
Rh 0.500 0.500 0.885

Peak list (8 most intense, 10° ≤ 2θ ≤ 90°, by intensity)
2θ/deg  Rel. int.
36.93  100.0
37.77  49.7
67.64  33.7
54.48  17.2
65.97  15.3
78.60  9.3
51.93  7.9
80.68  5.5

Entry 5:
# LaTm2Rh
Theoretical X-ray powder pattern, Cu Kα (λ = 1.5418 Å). Input: a crystal structure in Alexandria, relaxed with PBE.
Intensities are scaled so that the largest is 100.

Atomic structure:
Lattice parameters (Å, degrees): 7.207 9.460 6.442 90.00 90.00 90.00
Fractional coordinates of all 16 atoms:
La 0.039 0.250 0.136
La 0.461 0.750 0.636
La 0.539 0.250 0.364
La 0.961 0.750 0.864
Tm 0.175 0.066 0.667
Tm 0.175 0.434 0.667
Tm 0.325 0.566 0.167
Tm 0.325 0.934 0.167
Tm 0.675 0.066 0.833
Tm 0.675 0.434 0.833
Tm 0.825 0.566 0.333
Tm 0.825 0.934 0.333
Rh 0.121 0.750 0.431
Rh 0.379 0.250 0.931
Rh 0.621 0.750 0.069
Rh 0.879 0.250 0.569

Peak list (8 most intense, 10° ≤ 2θ ≤ 90°, by intensity)
2θ/deg  Rel. int.
31.87  100.0
31.59  96.3
34.24  89.3
34.01  74.6
31.20  59.2
30.40  52.5
29.94  49.2
35.96  47.5

Entry 6:
# La6YRh4
Theoretical X-ray powder pattern, Cu Kα (λ = 1.5418 Å). Input: a crystal structure in Alexandria, relaxed with PBE.
Intensities are scaled so that the largest is 100.

Atomic structure:
Lattice parameters (Å, degrees): 6.303 6.760 8.063 105.90 100.98 105.79
Fractional coordinates of all 11 atoms:
La 0.000 0.000 0.000
La 0.005 0.804 0.389
La 0.031 0.438 0.741
La 0.361 0.590 0.187
La 0.469 0.151 0.780
La 0.642 0.189 0.279
Y 0.542 0.615 0.638
Rh 0.190 0.252 0.368
Rh 0.446 0.831 0.959
Rh 0.697 0.974 0.541
Rh 0.750 0.561 0.003

Peak list (8 most intense, 10° ≤ 2θ ≤ 90°, by intensity)
2θ/deg  Rel. int.
30.09  100.0
30.82  59.9
35.12  46.2
31.29  40.2
29.03  38.5
32.24  36.6
40.86  30.2
36.27  29.2

Entry 7:
# LaY2Rh3
Theoretical X-ray powder pattern, Cu Kα (λ = 1.5418 Å). Input: a crystal structure in Alexandria, relaxed with PBE.
Intensities are scaled so that the largest is 100.

Atomic structure:
Lattice parameters (Å, degrees): 4.938 4.938 6.046 90.00 90.00 120.00
Fractional coordinates of all 6 atoms:
La 0.000 0.000 0.000
Y 0.333 0.667 0.662
Y 0.667 0.333 0.338
Rh 0.000 0.000 0.500
Rh 0.333 0.667 0.175
Rh 0.667 0.333 0.825

Peak list (7 most intense, 10° ≤ 2θ ≤ 90°, by intensity)
2θ/deg  Rel. int.
36.39  100.0
65.48  34.6
52.41  17.3
88.57  15.3
77.29  10.6
25.51  1.1
20.77  1.0

Entry 8:
# LaY2Rh
Theoretical X-ray powder pattern, Cu Kα (λ = 1.5418 Å). Input: a crystal structure in Alexandria, relaxed with PBE.
Intensities are scaled so that the largest is 100.

Atomic structure:
Lattice parameters (Å, degrees): 6.450 6.450 9.731 90.00 90.00 145.57
Fractional coordinates of all 8 atoms:
La 0.079 0.921 0.750
La 0.921 0.079 0.250
Y 0.359 0.641 0.570
Y 0.359 0.641 0.930
Y 0.641 0.359 0.070
Y 0.641 0.359 0.430
Rh 0.246 0.754 0.250
Rh 0.754 0.246 0.750

Peak list (8 most intense, 10° ≤ 2θ ≤ 90°, by intensity)
2θ/deg  Rel. int.
33.34  100.0
30.64  62.8
31.16  61.6
37.09  40.0
57.71  25.3
30.43  23.2
18.23  23.0
47.64  22.7

Entry 9:
# La3Y2Rh2
Theoretical X-ray powder pattern, Cu Kα (λ = 1.5418 Å). Input: a crystal structure in Alexandria, relaxed with PBE.
Intensities are scaled so that the largest is 100.

Atomic structure:
Lattice parameters (Å, degrees): 3.955 6.530 8.756 100.37 103.00 107.62
Fractional coordinates of all 7 atoms:
La 0.000 0.000 0.000
La 0.314 0.202 0.426
La 0.686 0.798 0.574
Y 0.141 0.466 0.815
Y 0.859 0.534 0.185
Rh 0.438 0.122 0.753
Rh 0.562 0.878 0.247

Peak list (8 most intense, 10° ≤ 2θ ≤ 90°, by intensity)
2θ/deg  Rel. int.
31.25  100.0
32.08  95.1
33.32  80.0
29.94  65.1
37.83  61.5
34.72  60.2
32.96  51.6
45.88  49.8

Entry 10:
# LaYRh4
Theoretical X-ray powder pattern, Cu Kα (λ = 1.5418 Å). Input: a crystal structure in Alexandria, relaxed with PBE.
Intensities are scaled so that the largest is 100.

Atomic structure:
Lattice parameters (Å, degrees): 5.401 5.401 5.401 60.00 60.00 60.00
Fractional coordinates of all 6 atoms:
La 0.000 0.000 0.000
Y 0.250 0.250 0.250
Rh 0.126 0.625 0.625
Rh 0.625 0.126 0.625
Rh 0.625 0.625 0.126
Rh 0.625 0.625 0.625

Peak list (8 most intense, 10° ≤ 2θ ≤ 90°, by intensity)
2θ/deg  Rel. int.
39.11  100.0
40.93  38.0
63.26  31.7
33.17  29.2
69.63  26.8
84.05  13.7
82.88  11.0
59.26  10.8

Entry 11:
# La2Zn12Rh5
Theoretical X-ray powder pattern, Cu Kα (λ = 1.5418 Å). Input: a crystal structure in Alexandria, relaxed with PBE.
Intensities are scaled so that the largest is 100.

Atomic structure:
Lattice parameters (Å, degrees): 6.870 6.870 6.870 83.48 83.48 83.48
Fractional coordinates of all 19 atoms:
La 0.177 0.177 0.177
La 0.823 0.823 0.823
Zn 0.155 0.155 0.653
Zn 0.155 0.653 0.155
Zn 0.215 0.500 0.785
Zn 0.215 0.785 0.500
Zn 0.347 0.845 0.845
Zn 0.500 0.215 0.785
Zn 0.500 0.785 0.215
Zn 0.653 0.155 0.155
Zn 0.785 0.215 0.500
Zn 0.785 0.500 0.215
Zn 0.845 0.347 0.845
Zn 0.845 0.845 0.347
Rh 0.000 0.500 0.500
Rh 0.399 0.399 0.399
Rh 0.500 0.000 0.500
Rh 0.500 0.500 0.000
Rh 0.601 0.601 0.601

Peak list (8 most intense, 10° ≤ 2θ ≤ 90°, by intensity)
2θ/deg  Rel. int.
39.83  100.0
39.40  99.1
41.11  86.7
44.68  59.8
33.95  41.0
13.04  34.2
45.85  31.7
28.16  27.8

Entry 12:
# La3Zn2Rh
Theoretical X-ray powder pattern, Cu Kα (λ = 1.5418 Å). Input: a crystal structure in Alexandria, relaxed with PBE.
Intensities are scaled so that the largest is 100.

Atomic structure:
Lattice parameters (Å, degrees): 12.684 4.721 10.638 90.00 90.00 90.00
Fractional coordinates of all 24 atoms:
La 0.056 0.250 0.109
La 0.109 0.750 0.564
La 0.241 0.250 0.786
La 0.259 0.750 0.286
La 0.391 0.250 0.064
La 0.444 0.750 0.609
La 0.556 0.250 0.391
La 0.609 0.750 0.936
La 0.741 0.250 0.714
La 0.759 0.750 0.214
La 0.891 0.250 0.436
La 0.944 0.750 0.891
Zn 0.009 0.750 0.292
Zn 0.206 0.750 0.987
Zn 0.294 0.250 0.487
Zn 0.491 0.250 0.792
Zn 0.509 0.750 0.208
Zn 0.706 0.750 0.513
Zn 0.794 0.250 0.013
Zn 0.991 0.250 0.708
Rh 0.112 0.250 0.361
Rh 0.388 0.750 0.861
Rh 0.612 0.250 0.139
Rh 0.888 0.750 0.639

Peak list (8 most intense, 10° ≤ 2θ ≤ 90°, by intensity)
2θ/deg  Rel. int.
31.56  100.0
38.13  62.6
35.12  62.4
24.96  35.7
33.05  31.8
29.58  28.9
64.84  27.9
28.94  21.1

Entry 13:
# La2Zn7Rh
Theoretical X-ray powder pattern, Cu Kα (λ = 1.5418 Å). Input: a crystal structure in Alexandria, relaxed with PBE.
Intensities are scaled so that the largest is 100.

Atomic structure:
Lattice parameters (Å, degrees): 4.346 4.346 10.365 90.00 90.00 90.00
Fractional coordinates of all 10 atoms:
La 0.000 0.500 0.243
La 0.500 0.000 0.757
Zn 0.000 0.000 0.000
Zn 0.000 0.000 0.500
Zn 0.000 0.500 0.629
Zn 0.000 0.500 0.870
Zn 0.500 0.000 0.130
Zn 0.500 0.000 0.371
Zn 0.500 0.500 0.500
Rh 0.500 0.500 0.000

Peak list (8 most intense, 10° ≤ 2θ ≤ 90°, by intensity)
2θ/deg  Rel. int.
33.92  100.0
33.12  59.9
41.56  59.2
54.15  28.9
48.66  23.6
70.95  22.2
60.23  19.1
65.88  18.5